For SmYF6, a crystal structure in Alexandria, relaxed with PBE gives the simulated powder diffraction line list in this record (Cu Kα X-rays).
Lines closer than 0.1° are merged.

Most intense lines, 10 to 80 degrees two-theta, sorted by position:
index	Position (°2θ)	I (rel.)
1 1 0	21.4	74
1 1 -1	24.6	100
1 1 1	27.6	83
0 2 1	28.3	55
0 0 2	29.9	24
1 1 2	39.2	30
1 3 0	40.7	39
2 0 -2	43.6	30
2 2 -1	44.4	41
2 2 1	48.1	26
1 1 -3	48.2	28
0 2 3	52.1	25

Crystal structure
```
data_SmYF6
_chemical_formula_sum 'Sm2 Y2 F12'
_symmetry_space_group_name_H-M 'C 1 2 1'
_symmetry_Int_Tables_number 5
_cell_length_a 5.0682
_cell_length_b 7.4079
_cell_length_c 6.0463
_cell_angle_alpha 90.00
_cell_angle_beta 98.27
_cell_angle_gamma 90.00
loop_
_symmetry_equiv_pos_as_xyz
'x,y,z'
'-x,y,-z'
'x+1/2,y+1/2,z'
'-x+1/2,y+1/2,-z'
loop_
_atom_site_label
_atom_site_type_symbol
_atom_site_fract_x
_atom_site_fract_y
_atom_site_fract_z
Sm1 Sm 0.0000 0.0000 0.0000
Y1 Y 0.0000 0.3208 0.5000
F1 F 0.2258 0.0644 0.3634
F2 F 0.2313 0.4006 0.2373
F3 F 0.2441 0.2475 0.8397
```

For SmZrF7, a crystal structure in Alexandria, relaxed with PBE gives the simulated powder diffraction line list in this record (Cu Kα X-rays).
Lines closer than 0.1° are merged.

Most intense lines, 10 to 80 degrees two-theta, sorted by position:
index	Position (°2θ)	I (rel.)
1 1 0	21.0	100
0 0 2	21.6	36
1 1 -1	22.1	13
1 1 1	25.1	24
0 1 2	26.4	14
1 1 -2	27.8	29
0 2 0	30.2	12
2 0 -2	32.6	11
2 2 -1	42.4	17
2 2 -2	45.0	14
2 2 1	45.9	19
3 1 -1	46.4	14

Crystal structure
```
data_SmZrF7
_chemical_formula_sum 'Sm2 Zr2 F14'
_symmetry_space_group_name_H-M 'P 1 21 1'
_symmetry_Int_Tables_number 4
_cell_length_a 6.2155
_cell_length_b 5.9186
_cell_length_c 8.4445
_cell_angle_alpha 90.00
_cell_angle_beta 102.89
_cell_angle_gamma 90.00
loop_
_symmetry_equiv_pos_as_xyz
'x,y,z'
'-x,y+1/2,-z'
loop_
_atom_site_label
_atom_site_type_symbol
_atom_site_fract_x
_atom_site_fract_y
_atom_site_fract_z
Sm1 Sm 0.1541 0.0000 0.1886
Zr1 Zr 0.3146 0.0066 0.7253
F1 F 0.0371 0.7099 0.0161
F2 F 0.0736 0.7676 0.7083
F3 F 0.0972 0.2705 0.7081
F4 F 0.2676 0.0017 0.4787
F5 F 0.3586 0.0106 0.9713
F6 F 0.4377 0.2711 0.2544
F7 F 0.4431 0.7441 0.2638
```

For Sn2F3, a crystal structure in Alexandria, relaxed with PBE gives the simulated powder diffraction line list in this record (Cu Kα X-rays).
Lines closer than 0.1° are merged.

Most intense lines, 10 to 80 degrees two-theta, sorted by position:
index	Position (°2θ)	I (rel.)
0 0 1	20.2	78
0 2 0	20.9	100
2 0 0	28.9	62
0 2 1	29.2	45
2 0 1	35.5	39
2 2 0	35.9	51
0 0 2	41.0	24
2 2 1	41.5	37
0 2 2	46.4	25
2 0 2	50.9	25
2 2 2	55.6	29
2 4 1	56.5	24

Crystal structure
```
data_Sn2F3
_chemical_formula_sum 'Sn4 F6'
_symmetry_space_group_name_H-M 'C m m m'
_symmetry_Int_Tables_number 65
_symmetry_space_group_name_Hall '-C 2 2'
_cell_length_a 6.1797
_cell_length_b 8.5094
_cell_length_c 4.4034
_cell_angle_alpha 90.00
_cell_angle_beta 90.00
_cell_angle_gamma 90.00
loop_
_atom_site_label
_atom_site_type_symbol
_atom_site_fract_x
_atom_site_fract_y
_atom_site_fract_z
Sn1 Sn 0.0000 0.2480 0.0000
F1 F 0.0000 0.2840 0.5000
F2 F 0.0000 0.5000 0.0000
```

For Sn3F8, a crystal structure in Alexandria, relaxed with PBE gives the simulated powder diffraction line list in this record (Cu Kα X-rays).
Lines closer than 0.1° are merged.

Most intense lines, 10 to 80 degrees two-theta, sorted by position:
index	Position (°2θ)	I (rel.)
1 1 -1	22.9	100
1 0 2	26.7	31
0 1 3	26.9	60
1 0 -4	27.1	36
0 2 0	32.6	26
2 1 1	42.5	18
1 2 2	42.7	19
2 1 -5	43.0	28
0 0 6	43.6	13
2 2 -2	46.8	14
1 1 5	49.6	14
1 1 -7	50.0	17

Crystal structure
```
data_Sn3F8
_chemical_formula_sum 'Sn6 F16'
_symmetry_space_group_name_H-M 'P 1 21/c 1'
_symmetry_Int_Tables_number 14
_cell_length_a 5.4980
_cell_length_b 5.4861
_cell_length_c 13.5547
_cell_angle_alpha 90.00
_cell_angle_beta 113.21
_cell_angle_gamma 90.00
loop_
_symmetry_equiv_pos_as_xyz
'x,y,z'
'-x,-y,-z'
'-x,y+1/2,-z+1/2'
'x,-y+1/2,z+1/2'
loop_
_atom_site_label
_atom_site_type_symbol
_atom_site_fract_x
_atom_site_fract_y
_atom_site_fract_z
Sn1 Sn 0.0000 0.0000 0.0000
Sn2 Sn 0.3731 0.0549 0.3336
F1 F 0.0121 0.0295 0.1503
F2 F 0.2241 0.6949 0.0465
F3 F 0.3269 0.1994 0.0367
F4 F 0.4162 0.1069 0.7544
```